Dy2Y5Ni2Te2: calculated powder diffraction line list (Cu Kα (λ = 1.5418 Å)), based on the PBE geometry in OQMD.
No peak broadening, texture or thermal motion is included.

Largest 12 diffraction maxima, in order of rising 2θ, 15 to 90 degrees two-theta:
| Position (°2θ) | I_rel |
| --- | --- |
| 24.83 | 16 |
| 28.43 | 12 |
| 29.98 | 14 |
| 30.22 | 38 |
| 32.79 | 58 |
| 33.89 | 100 |
| 34.36 | 62 |
| 38.25 | 17 |
| 44.79 | 18 |
| 47.03 | 24 |
| 58.53 | 29 |
| 61.48 | 12 |

Crystal structure
abc: 9.3940 9.3940 9.3940
angles: 156.26 66.93 118.46
Element x y z (fractional)
Dy 0.1314 0.0000 0.1314
Dy 0.8686 0.0000 0.8686
Y 0.2037 0.8500 0.3537
Y 0.4963 0.8500 0.6463
Y 0.5171 0.2015 0.3156
Y 0.5821 0.5821 0.0000
Y 0.8859 0.2015 0.6844
Ni 0.2713 0.5099 0.7614
Ni 0.7485 0.5099 0.2386
Te 0.2461 0.2461 0.0000
Te 0.8461 0.3461 0.5000

Dy2Y5Ni2Te2: calculated powder diffraction line list (Cu Kα (λ = 1.5418 Å)), based on the PBE geometry in OQMD.
No peak broadening, texture or thermal motion is included.

Largest 12 diffraction maxima, in order of rising 2θ, 15 to 90 degrees two-theta:
| Position (°2θ) | I_rel |
| --- | --- |
| 28.71 | 22 |
| 30.22 | 42 |
| 32.80 | 66 |
| 33.87 | 100 |
| 34.34 | 53 |
| 36.44 | 21 |
| 38.26 | 23 |
| 44.81 | 17 |
| 46.99 | 25 |
| 50.78 | 17 |
| 58.49 | 25 |
| 64.88 | 15 |

Crystal structure
abc: 9.3973 9.3973 9.3973
angles: 156.25 66.85 118.54
Element x y z (fractional)
Dy 0.1471 0.0000 0.1471
Dy 0.8529 0.0000 0.8529
Y 0.1648 0.3494 0.8153
Y 0.2295 0.7295 0.5000
Y 0.5163 0.1474 0.3689
Y 0.5341 0.3494 0.1847
Y 0.7784 0.1474 0.6311
Ni 0.3931 0.6557 0.7374
Ni 0.9182 0.6557 0.2626
Te 0.4932 0.4932 0.0000
Te 0.8939 0.3939 0.5000

DyY3Ni4: calculated powder diffraction line list (Cu Kα (λ = 1.5418 Å)), based on the PBE geometry in OQMD.
No peak broadening, texture or thermal motion is included.

Largest 12 diffraction maxima, in order of rising 2θ, 15 to 90 degrees two-theta:
| Position (°2θ) | I_rel |
| --- | --- |
| 29.84 | 68 |
| 30.26 | 17 |
| 33.26 | 100 |
| 35.51 | 82 |
| 37.28 | 95 |
| 41.76 | 99 |
| 41.91 | 46 |
| 43.32 | 55 |
| 54.78 | 24 |
| 57.21 | 40 |
| 61.86 | 46 |
| 72.29 | 20 |

Crystal structure
abc: 5.4171 4.1770 7.0482
angles: 90.00 90.01 90.00
Element x y z (fractional)
Dy 0.0000 0.0000 0.0000
Y 0.2600 0.5000 0.6406
Y 0.5000 0.5000 0.1406
Y 0.7600 0.0000 0.5000
Ni 0.0054 0.5000 0.2823
Ni 0.2545 0.0000 0.3583
Ni 0.5054 0.0000 0.8583
Ni 0.7546 0.5000 0.7824

Dy3YNi4: calculated powder diffraction line list (Cu Kα (λ = 1.5418 Å)), based on the PBE geometry in OQMD.
No peak broadening, texture or thermal motion is included.

Largest 12 diffraction maxima, in order of rising 2θ, 15 to 90 degrees two-theta:
| Position (°2θ) | I_rel |
| --- | --- |
| 27.00 | 30 |
| 29.88 | 83 |
| 30.31 | 24 |
| 33.32 | 100 |
| 35.56 | 88 |
| 37.35 | 87 |
| 41.83 | 84 |
| 41.99 | 45 |
| 43.39 | 52 |
| 54.89 | 24 |
| 57.30 | 44 |
| 61.97 | 44 |

Crystal structure
abc: 5.4091 4.1708 7.0360
angles: 90.00 90.03 90.00
Element x y z (fractional)
Dy 0.0000 0.0000 0.0000
Dy 0.2396 0.0000 0.4999
Dy 0.4999 0.5000 0.1405
Y 0.7396 0.5000 0.6405
Ni 0.2451 0.5000 0.7824
Ni 0.4942 0.0000 0.8583
Ni 0.7451 0.0000 0.3579
Ni 0.9945 0.5000 0.2821

DyYNi2: calculated powder diffraction line list (Cu Kα (λ = 1.5418 Å)), based on the PBE geometry in OQMD.
No peak broadening, texture or thermal motion is included.

Largest 12 diffraction maxima, in order of rising 2θ, 15 to 90 degrees two-theta:
| Position (°2θ) | I_rel |
| --- | --- |
| 26.98 | 28 |
| 29.87 | 82 |
| 30.28 | 22 |
| 33.30 | 100 |
| 35.54 | 86 |
| 37.32 | 91 |
| 41.80 | 90 |
| 41.95 | 47 |
| 43.37 | 54 |
| 54.84 | 24 |
| 57.27 | 43 |
| 61.92 | 46 |

Crystal structure
abc: 4.1730 7.0416 5.4127
angles: 90.00 90.00 90.00
Element x y z (fractional)
Dy 0.0000 0.0702 0.0000
Dy 0.5000 0.9298 0.5000
Y 0.0000 0.5703 0.2397
Y 0.5000 0.4297 0.7397
Ni 0.0000 0.2118 0.4944
Ni 0.0000 0.7124 0.7452
Ni 0.5000 0.2876 0.2452
Ni 0.5000 0.7882 0.9944

DyYZn3Ni2: calculated powder diffraction line list (Cu Kα (λ = 1.5418 Å)), based on the PBE geometry in OQMD.
No peak broadening, texture or thermal motion is included.

Largest 12 diffraction maxima, in order of rising 2θ, 15 to 90 degrees two-theta:
| Position (°2θ) | I_rel |
| --- | --- |
| 28.19 | 11 |
| 34.65 | 100 |
| 37.22 | 34 |
| 38.02 | 59 |
| 40.71 | 57 |
| 41.96 | 23 |
| 47.31 | 27 |
| 51.27 | 22 |
| 62.23 | 30 |
| 67.43 | 24 |
| 72.32 | 14 |
| 79.72 | 13 |

Crystal structure
abc: 3.5641 3.8427 18.9936
angles: 90.00 90.00 90.00
Element x y z (fractional)
Dy 0.0000 0.0000 0.0000
Dy 0.0000 0.5000 0.5000
Y 0.0000 0.0000 0.6710
Y 0.0000 0.5000 0.1710
Zn 0.0000 0.0000 0.8353
Zn 0.0000 0.5000 0.3353
Zn 0.5000 0.0000 0.2643
Zn 0.5000 0.0000 0.4059
Zn 0.5000 0.5000 0.7643
Zn 0.5000 0.5000 0.9059
Ni 0.5000 0.0000 0.1248
Ni 0.5000 0.0000 0.5436
Ni 0.5000 0.5000 0.0436
Ni 0.5000 0.5000 0.6248

DyZnNi4: calculated powder diffraction line list (Cu Kα (λ = 1.5418 Å)), based on the PBE geometry in OQMD.
No peak broadening, texture or thermal motion is included.

Largest 12 diffraction maxima, in order of rising 2θ, 15 to 90 degrees two-theta:
| Position (°2θ) | I_rel |
| --- | --- |
| 22.33 | 13 |
| 25.83 | 13 |
| 36.80 | 32 |
| 36.91 | 31 |
| 43.49 | 100 |
| 43.60 | 32 |
| 45.51 | 24 |
| 45.70 | 8 |
| 66.34 | 17 |
| 70.96 | 29 |
| 78.30 | 14 |
| 78.57 | 14 |

Crystal structure
abc: 4.8702 4.8702 4.8702
angles: 60.19 60.19 60.19
Element x y z (fractional)
Dy 0.0000 0.0000 0.0000
Zn 0.7485 0.7485 0.7485
Ni 0.3770 0.3770 0.3770
Ni 0.3770 0.3770 0.8721
Ni 0.3770 0.8721 0.3770
Ni 0.8721 0.3770 0.3770

Dy2Zr2Ni: calculated powder diffraction line list (Cu Kα (λ = 1.5418 Å)), based on the PBE geometry in OQMD.
No peak broadening, texture or thermal motion is included.

Largest 12 diffraction maxima, in order of rising 2θ, 15 to 90 degrees two-theta:
| Position (°2θ) | I_rel |
| --- | --- |
| 22.98 | 11 |
| 32.88 | 100 |
| 37.61 | 92 |
| 39.73 | 25 |
| 50.80 | 29 |
| 55.85 | 9 |
| 64.63 | 14 |
| 64.90 | 28 |
| 67.88 | 16 |
| 69.30 | 10 |
| 80.28 | 10 |
| 89.51 | 12 |

Crystal structure
abc: 4.7834 4.7834 10.8472
angles: 90.00 90.00 120.00
Element x y z (fractional)
Dy 0.3333 0.6667 0.0946
Dy 0.3333 0.6667 0.4054
Dy 0.6667 0.3333 0.5946
Dy 0.6667 0.3333 0.9054
Zr 0.0000 0.0000 0.0000
Zr 0.0000 0.0000 0.5000
Zr 0.3333 0.6667 0.7500
Zr 0.6667 0.3333 0.2500
Ni 0.0000 0.0000 0.2500
Ni 0.0000 0.0000 0.7500